(1)
Starting from a crystal structure in Alexandria, relaxed with GGA-PBE, the X-ray diffraction stick pattern of CaZn12Ag7 was simulated for Cu Kα (λ = 1.5418 Å).
Intensities are scaled so that the largest is 100.

Peak list (6 most intense, 2θ from 10° to 90°, by angle)
d/Å, two_theta, I (rel.)
6.713, 13.2, 63
3.356, 26.6, 62
2.373, 37.9, 52
2.123, 42.6, 36
1.938, 46.9, 100
1.269, 74.8, 49

Structural model:
abc: 8.2217 8.2217 8.2217
angles: 109.47 109.47 109.47
Fractional positions:
Ca 0.0000 0.0000 0.0000
Zn 0.1067 0.3564 0.7503
Zn 0.2497 0.6062 0.3564
Zn 0.2497 0.8933 0.6436
Zn 0.3564 0.2497 0.6062
Zn 0.3564 0.7503 0.1067
Zn 0.3938 0.6436 0.7503
Zn 0.6062 0.3564 0.2497
Zn 0.6436 0.2497 0.8933
Zn 0.6436 0.7503 0.3938
Zn 0.7503 0.1067 0.3564
Zn 0.7503 0.3938 0.6436
Zn 0.8933 0.6436 0.2497
Ag 0.0000 0.0000 0.5000
Ag 0.0000 0.5000 0.0000
Ag 0.0000 0.5000 0.5000
Ag 0.5000 0.0000 0.0000
Ag 0.5000 0.0000 0.5000
Ag 0.5000 0.5000 0.0000
Ag 0.5000 0.5000 0.5000

---

(2)
Starting from a crystal structure in Alexandria, relaxed with GGA-PBE, the X-ray diffraction stick pattern of Ti2NbZn2 was simulated for Cu Kα (λ = 1.5418 Å).
Intensities are scaled so that the largest is 100.

Peak list (6 most intense, 2θ from 10° to 90°, by angle)
d/Å, two_theta, I (rel.)
2.454, 36.6, 46
2.286, 39.4, 73
2.228, 40.5, 63
2.188, 41.3, 32
2.179, 41.4, 55
2.172, 41.6, 100

Structural model:
abc: 4.9108 5.3269 7.4268
angles: 108.02 91.95 116.28
Fractional positions:
Ti 0.0095 0.3827 0.1462
Ti 0.3641 0.3663 0.6303
Ti 0.6359 0.6337 0.3697
Ti 0.9905 0.6173 0.8538
Nb 0.2004 0.9951 0.2419
Nb 0.7996 0.0049 0.7581
Zn 0.2109 0.7799 0.5467
Zn 0.4282 0.2212 0.9542
Zn 0.5718 0.7788 0.0458
Zn 0.7891 0.2201 0.4533

---

(3)
Starting from a crystal structure in Alexandria, relaxed with GGA-PBE, the X-ray diffraction stick pattern of La2Pm7PrCd2 was simulated for Cu Kα (λ = 1.5418 Å).
Intensities are scaled so that the largest is 100.

Peak list (6 most intense, 2θ from 10° to 90°, by angle)
d/Å, two_theta, I (rel.)
2.950, 30.3, 47
2.925, 30.6, 100
2.836, 31.5, 26
2.767, 32.3, 44
2.450, 36.7, 25
1.497, 62.0, 33

Structural model:
abc: 6.5411 6.5411 10.3360
angles: 90.00 90.00 115.60
Fractional positions:
La 0.0000 0.0000 0.1697
La 0.0000 0.0000 0.8303
Pm 0.0000 0.0000 0.5000
Pm 0.0000 0.5000 0.3207
Pm 0.0000 0.5000 0.6793
Pm 0.2728 0.7272 0.0000
Pm 0.5000 0.0000 0.3207
Pm 0.5000 0.0000 0.6793
Pm 0.7272 0.2728 0.0000
Pr 0.5000 0.5000 0.5000
Cd 0.5000 0.5000 0.1933
Cd 0.5000 0.5000 0.8067

---

(4)
Starting from a crystal structure in Alexandria, relaxed with GGA-PBE, the X-ray diffraction stick pattern of Ba3PmTe4 was simulated for Cu Kα (λ = 1.5418 Å).
Intensities are scaled so that the largest is 100.

Peak list (6 most intense, 2θ from 10° to 90°, by angle)
d/Å, two_theta, I (rel.)
3.428, 26.0, 100
2.424, 37.1, 51
2.408, 37.3, 13
1.988, 45.6, 13
1.970, 46.1, 14
1.533, 60.4, 23

Structural model:
abc: 8.4147 8.4147 4.8165
angles: 90.00 90.00 109.09
Fractional positions:
Ba 0.0000 0.0000 0.0000
Ba 0.0000 0.5000 0.5000
Ba 0.5000 0.0000 0.5000
Pm 0.5000 0.5000 0.0000
Te 0.2629 0.7371 0.0000
Te 0.2717 0.2717 0.5000
Te 0.7283 0.7283 0.5000
Te 0.7371 0.2629 0.0000

---

(5)
Starting from a crystal structure in Alexandria, relaxed with GGA-PBE, the X-ray diffraction stick pattern of Zr2H2Pt was simulated for Cu Kα (λ = 1.5418 Å).
Intensities are scaled so that the largest is 100.

Peak list (6 most intense, 2θ from 10° to 90°, by angle)
d/Å, two_theta, I (rel.)
6.185, 14.3, 37
2.554, 35.1, 100
2.301, 39.2, 41
1.969, 46.1, 22
1.535, 60.3, 15
1.372, 68.4, 28

Structural model:
abc: 6.5990 6.5990 6.5990
angles: 151.45 151.45 40.81
Fractional positions:
Zr 0.1409 0.1409 0.0000
Zr 0.8591 0.8591 0.0000
H 0.2500 0.7500 0.5000
H 0.7500 0.2500 0.5000
Pt 0.5000 0.5000 0.0000

---

(6)
Starting from a crystal structure in Alexandria, relaxed with GGA-PBE, the X-ray diffraction stick pattern of Rb2Tl10Pb was simulated for Cu Kα (λ = 1.5418 Å).
Intensities are scaled so that the largest is 100.

Peak list (6 most intense, 2θ from 10° to 90°, by angle)
d/Å, two_theta, I (rel.)
7.207, 12.3, 100
2.992, 29.9, 35
2.870, 31.2, 29
2.703, 33.1, 50
2.512, 35.7, 31
2.371, 37.9, 31

Structural model:
abc: 11.7679 13.0728 7.2074
angles: 90.00 90.00 90.00
Fractional positions:
Rb 0.1329 0.1170 0.0000
Rb 0.3671 0.6170 0.0000
Rb 0.6329 0.3830 0.0000
Rb 0.8671 0.8830 0.0000
Tl 0.0375 0.8809 0.5000
Tl 0.0840 0.6885 0.2348
Tl 0.0840 0.6885 0.7652
Tl 0.1791 0.3010 0.5000
Tl 0.2336 0.0530 0.5000
Tl 0.2664 0.5530 0.5000
Tl 0.3209 0.8010 0.5000
Tl 0.4160 0.1885 0.2348
Tl 0.4160 0.1885 0.7652
Tl 0.4625 0.3809 0.5000
Tl 0.5375 0.6191 0.5000
Tl 0.5840 0.8115 0.2348
Tl 0.5840 0.8115 0.7652
Tl 0.6791 0.1990 0.5000
Tl 0.7336 0.4470 0.5000
Tl 0.7664 0.9470 0.5000
Tl 0.8209 0.6990 0.5000
Tl 0.9160 0.3115 0.2348
Tl 0.9160 0.3115 0.7652
Tl 0.9625 0.1191 0.5000
Pb 0.0000 0.5000 0.5000
Pb 0.5000 0.0000 0.5000

---

(7)
Starting from a crystal structure in Alexandria, relaxed with GGA-PBE, the X-ray diffraction stick pattern of Tb2Sm2Ho5 was simulated for Cu Kα (λ = 1.5418 Å).
Intensities are scaled so that the largest is 100.

Peak list (6 most intense, 2θ from 10° to 90°, by angle)
d/Å, two_theta, I (rel.)
2.993, 29.9, 85
2.981, 30.0, 79
2.722, 32.9, 75
2.651, 33.8, 53
2.568, 34.9, 78
2.477, 36.3, 100

Structural model:
abc: 10.8840 10.8840 8.1992
angles: 99.51 99.51 18.45
Fractional positions:
Tb 0.0470 0.0470 0.3547
Tb 0.9530 0.9530 0.6453
Sm 0.3174 0.3174 0.8530
Sm 0.6826 0.6826 0.1470
Ho 0.1905 0.1905 0.5275
Ho 0.4022 0.4022 0.2636
Ho 0.5000 0.5000 0.0000
Ho 0.5978 0.5978 0.7364
Ho 0.8095 0.8095 0.4725